Entry 1:
The following is a simulated X-ray diffraction stick pattern of Cd5In3Hg4. It was derived from a cell relaxed with GGA-PBE, using Cu Kα (weighted mean of Kα1 and Kα2).
No peak broadening, texture or thermal motion is included.

Top 6 peaks for 10° ≤ 2θ ≤ 90°, by intensity:
29.5 deg, I = 100
32.1 deg, I = 78
32.2 deg, I = 75
33.6 deg, I = 69
44.1 deg, I = 65
44.2 deg, I = 64

Cell and atoms:
Unit cell a=7.191 b=7.191 c=9.357 alpha=118.06 beta=118.06 gamma=49.87
Positions (direct):
Cd1 0.000 0.000 0.000
Cd2 0.253 0.253 0.328
Cd3 0.494 0.494 0.334
Cd4 0.506 0.506 0.666
Cd5 0.747 0.747 0.672
In1 0.243 0.243 0.983
In2 0.500 0.500 0.000
In3 0.757 0.757 0.017
Hg1 0.008 0.008 0.337
Hg2 0.258 0.258 0.658
Hg3 0.742 0.742 0.342
Hg4 0.992 0.992 0.663

***

Entry 2:
The following is a simulated X-ray diffraction stick pattern of Cd3In2Hg3. It was derived from a cell relaxed with GGA-PBE, using Cu Kα (weighted mean of Kα1 and Kα2).
No peak broadening, texture or thermal motion is included.

Top 6 peaks for 10° ≤ 2θ ≤ 90°, by intensity:
32.5 deg, I = 100
37.7 deg, I = 55
41.5 deg, I = 30
30.2 deg, I = 24
41.2 deg, I = 24
67.0 deg, I = 24

Cell and atoms:
Unit cell a=5.861 b=5.861 c=17.756 alpha=90.00 beta=90.00 gamma=136.46
Positions (direct):
Cd1 0.074 0.926 0.660
Cd2 0.074 0.926 0.840
Cd3 0.420 0.580 0.750
Cd4 0.580 0.420 0.250
Cd5 0.926 0.074 0.160
Cd6 0.926 0.074 0.340
In1 0.267 0.733 0.072
In2 0.267 0.733 0.428
In3 0.733 0.267 0.572
In4 0.733 0.267 0.928
Hg1 0.268 0.732 0.250
Hg2 0.431 0.569 0.577
Hg3 0.431 0.569 0.923
Hg4 0.569 0.431 0.077
Hg5 0.569 0.431 0.423
Hg6 0.732 0.268 0.750

***

Entry 3:
The following is a simulated X-ray diffraction stick pattern of Cd5InHg6. It was derived from a cell relaxed with GGA-PBE, using Cu Kα (weighted mean of Kα1 and Kα2).
No peak broadening, texture or thermal motion is included.

Top 6 peaks for 10° ≤ 2θ ≤ 90°, by intensity:
32.6 deg, I = 100
29.5 deg, I = 65
43.5 deg, I = 45
33.9 deg, I = 45
45.6 deg, I = 39
43.4 deg, I = 23

Cell and atoms:
Unit cell a=6.399 b=6.399 c=7.716 alpha=95.08 beta=95.01 gamma=97.75
Positions (direct):
Cd1 0.000 0.000 0.000
Cd2 0.165 0.837 0.498
Cd3 0.334 0.663 0.002
Cd4 0.666 0.337 0.998
Cd5 0.835 0.163 0.502
In1 0.500 0.500 0.500
Hg1 0.077 0.414 0.248
Hg2 0.248 0.248 0.752
Hg3 0.418 0.080 0.245
Hg4 0.582 0.920 0.755
Hg5 0.752 0.752 0.248
Hg6 0.923 0.586 0.752

***

Entry 4:
The following is a simulated X-ray diffraction stick pattern of Cd6In2Hg3. It was derived from a cell relaxed with GGA-PBE, using Cu Kα (weighted mean of Kα1 and Kα2).
No peak broadening, texture or thermal motion is included.

Top 6 peaks for 10° ≤ 2θ ≤ 90°, by intensity:
32.6 deg, I = 100
39.3 deg, I = 59
53.4 deg, I = 24
67.1 deg, I = 23
37.6 deg, I = 22
60.2 deg, I = 15

Cell and atoms:
Unit cell a=26.421 b=26.421 c=26.421 alpha=7.45 beta=7.45 gamma=7.45
Positions (direct):
Cd1 0.089 0.089 0.089
Cd2 0.181 0.181 0.181
Cd3 0.363 0.363 0.363
Cd4 0.637 0.637 0.637
Cd5 0.819 0.819 0.819
Cd6 0.911 0.911 0.911
In1 0.454 0.454 0.454
In2 0.546 0.546 0.546
Hg1 0.000 0.000 0.000
Hg2 0.274 0.274 0.274
Hg3 0.726 0.726 0.726

***

Entry 5:
The following is a simulated X-ray diffraction stick pattern of Cd6In4Hg. It was derived from a cell relaxed with GGA-PBE, using Cu Kα (weighted mean of Kα1 and Kα2).
No peak broadening, texture or thermal motion is included.

Top 6 peaks for 10° ≤ 2θ ≤ 90°, by intensity:
31.6 deg, I = 100
34.2 deg, I = 92
31.1 deg, I = 68
38.8 deg, I = 55
38.3 deg, I = 53
44.9 deg, I = 49

Cell and atoms:
Unit cell a=4.817 b=4.817 c=25.563 alpha=90.00 beta=90.00 gamma=107.98
Positions (direct):
Cd1 0.000 0.000 0.000
Cd2 0.000 0.000 0.500
Cd3 0.154 0.846 0.750
Cd4 0.274 0.726 0.091
Cd5 0.274 0.726 0.409
Cd6 0.463 0.537 0.680
Cd7 0.463 0.537 0.820
Cd8 0.537 0.463 0.180
Cd9 0.537 0.463 0.320
Cd10 0.726 0.274 0.591
Cd11 0.726 0.274 0.909
Cd12 0.846 0.154 0.250
In1 0.081 0.919 0.634
In2 0.081 0.919 0.866
In3 0.363 0.637 0.546
In4 0.363 0.637 0.954
In5 0.637 0.363 0.046
In6 0.637 0.363 0.454
In7 0.919 0.081 0.134
In8 0.919 0.081 0.366
Hg1 0.216 0.784 0.250
Hg2 0.784 0.216 0.750

***

Entry 6:
The following is a simulated X-ray diffraction stick pattern of Cd2In3Hg4. It was derived from a cell relaxed with GGA-PBE, using Cu Kα (weighted mean of Kα1 and Kα2).
No peak broadening, texture or thermal motion is included.

Top 6 peaks for 10° ≤ 2θ ≤ 90°, by intensity:
36.4 deg, I = 100
29.1 deg, I = 67
36.6 deg, I = 55
33.4 deg, I = 53
36.0 deg, I = 50
31.3 deg, I = 47

Cell and atoms:
Unit cell a=10.161 b=10.161 c=11.415 alpha=123.84 beta=123.84 gamma=29.55
Positions (direct):
Cd1 0.083 0.284 0.362
Cd2 0.284 0.083 0.862
Cd3 0.716 0.917 0.138
Cd4 0.917 0.716 0.638
In1 0.084 0.916 0.750
In2 0.306 0.479 0.075
In3 0.479 0.306 0.575
In4 0.521 0.694 0.425
In5 0.694 0.521 0.925
In6 0.916 0.084 0.250
Hg1 0.158 0.344 0.174
Hg2 0.183 0.702 0.420
Hg3 0.298 0.817 0.080
Hg4 0.344 0.158 0.674
Hg5 0.656 0.842 0.326
Hg6 0.702 0.183 0.920
Hg7 0.817 0.298 0.580
Hg8 0.842 0.656 0.826

***

Entry 7:
The following is a simulated X-ray diffraction stick pattern of Cd8InHg2. It was derived from a cell relaxed with GGA-PBE, using Cu Kα (weighted mean of Kα1 and Kα2).
No peak broadening, texture or thermal motion is included.

Top 6 peaks for 10° ≤ 2θ ≤ 90°, by intensity:
32.5 deg, I = 100
32.9 deg, I = 96
34.4 deg, I = 85
37.1 deg, I = 70
39.4 deg, I = 59
39.8 deg, I = 56

Cell and atoms:
Unit cell a=5.216 b=7.224 c=7.513 alpha=108.69 beta=91.91 gamma=103.65
Positions (direct):
Cd1 0.051 0.193 0.410
Cd2 0.139 0.551 0.218
Cd3 0.227 0.913 0.046
Cd4 0.314 0.265 0.865
Cd5 0.686 0.735 0.135
Cd6 0.773 0.087 0.954
Cd7 0.861 0.449 0.782
Cd8 0.949 0.807 0.590
In1 0.500 0.000 0.500
Hg1 0.403 0.631 0.688
Hg2 0.597 0.369 0.312

***

Entry 8:
The following is a simulated X-ray diffraction stick pattern of Cd8In2Hg3. It was derived from a cell relaxed with GGA-PBE, using Cu Kα (weighted mean of Kα1 and Kα2).
No peak broadening, texture or thermal motion is included.

Top 6 peaks for 10° ≤ 2θ ≤ 90°, by intensity:
37.2 deg, I = 100
32.0 deg, I = 75
33.9 deg, I = 48
31.2 deg, I = 40
34.8 deg, I = 31
60.5 deg, I = 24

Cell and atoms:
Unit cell a=7.867 b=7.867 c=5.445 alpha=100.43 beta=100.43 gamma=90.68
Positions (direct):
Cd1 0.059 0.572 0.801
Cd2 0.070 0.070 0.289
Cd3 0.358 0.358 0.440
Cd4 0.428 0.941 0.199
Cd5 0.572 0.059 0.801
Cd6 0.642 0.642 0.560
Cd7 0.930 0.930 0.711
Cd8 0.941 0.428 0.199
In1 0.213 0.213 0.870
In2 0.787 0.787 0.130
Hg1 0.250 0.750 0.500
Hg2 0.500 0.500 0.000
Hg3 0.750 0.250 0.500